Starting from a structure optimized by DFT (PBE), the X-ray powder pattern of SmPuPdRh was simulated for λ = 1.5418 Å (Cu Kα).
Kinematic intensities with the Lorentz-polarization factor, no thermal factor.

Peak list (12 most intense, 10° ≤ 2θ ≤ 80°, sorted by position)
| h k l | Position (°2θ) | d/Å | intensity |
| --- | --- | --- | --- |
| 1 0 2 | 26.8 | 3.331 | 168 |
| 0 0 4 | 31.9 | 2.810 | 378 |
| 1 1 1 | 32.6 | 2.744 | 1000 |
| 0 1 3 | 33.2 | 2.695 | 284 |
| 1 0 4 | 38.7 | 2.324 | 168 |
| 1 1 3 | 39.9 | 2.258 | 586 |
| 2 0 0 | 43.8 | 2.068 | 237 |
| 0 2 0 | 46.8 | 1.940 | 206 |
| 1 1 5 | 52.0 | 1.760 | 148 |
| 2 0 4 | 55.2 | 1.665 | 162 |
| 0 2 4 | 57.8 | 1.596 | 141 |
| 1 3 1 | 77.8 | 1.227 | 167 |

Structural model:
a = 4.1351 Å, b = 3.8799 Å, c = 11.2385 Å
α = 90.00°, β = 90.00°, γ = 90.00°
Space group Amm2 (No. 38)
Unique sites:
Sm1 0.0000 0.0000 0.0000 x2
Pu1 0.5000 0.0000 0.2793 x2
Pd1 0.5000 0.0000 0.5633 x2
Rh1 0.0000 0.0000 0.7412 x2